Diffraction record for SrAg6O4. The XRD peak list is simulated, not measured: it uses a DFT-relaxed cell (GGA-PBE, the Materials Project) and a wavelength of 1.5418 Å.

Most intense lines, 10 to 80 degrees two-theta, low angle first:
2θ (°)  d [Å]  I (rel.)
29.6  3.017  37
32.5  2.755  32
33.0  2.717  100
33.5  2.674  52
34.3  2.616  82
34.6  2.591  61
39.1  2.304  44
39.5  2.282  33
42.2  2.141  24
57.2  1.610  41

Crystal structure
```
data_SrAg6O4
_chemical_formula_sum 'Sr4 Ag24 O16'
_cell_length_a 6.612
_cell_length_b 12.616
_cell_length_c 9.091
_cell_angle_alpha 90.00
_cell_angle_beta 90.00
_cell_angle_gamma 90.00
_space_group_name_H-M_alt 'P 1'
_space_group_IT_number 1
_space_group_name_Hall 'P 1'
loop_
_atom_site_label
_atom_site_type_symbol
_atom_site_fract_x
_atom_site_fract_y
_atom_site_fract_z
Sr1 Sr 0.250 0.000 0.119
Sr2 Sr 0.250 0.500 0.381
Sr3 Sr 0.750 0.000 0.881
Sr4 Sr 0.750 0.500 0.619
Ag1 Ag 0.000 0.000 0.500
Ag2 Ag 0.000 0.500 0.000
Ag3 Ag 0.077 0.239 0.461
Ag4 Ag 0.077 0.261 0.039
Ag5 Ag 0.090 0.750 0.250
Ag6 Ag 0.209 0.622 0.736
Ag7 Ag 0.209 0.878 0.764
Ag8 Ag 0.291 0.122 0.764
Ag9 Ag 0.291 0.378 0.736
Ag10 Ag 0.410 0.250 0.250
Ag11 Ag 0.423 0.739 0.039
Ag12 Ag 0.423 0.761 0.461
Ag13 Ag 0.500 0.000 0.500
Ag14 Ag 0.500 0.500 0.000
Ag15 Ag 0.577 0.239 0.539
Ag16 Ag 0.577 0.261 0.961
Ag17 Ag 0.590 0.750 0.750
Ag18 Ag 0.709 0.622 0.264
Ag19 Ag 0.709 0.878 0.236
Ag20 Ag 0.791 0.122 0.236
Ag21 Ag 0.791 0.378 0.264
Ag22 Ag 0.910 0.250 0.750
Ag23 Ag 0.923 0.739 0.961
Ag24 Ag 0.923 0.761 0.539
O1 O 0.046 0.119 0.917
O2 O 0.046 0.381 0.583
O3 O 0.090 0.103 0.327
O4 O 0.090 0.397 0.173
O5 O 0.410 0.603 0.173
O6 O 0.410 0.897 0.327
O7 O 0.454 0.619 0.583
O8 O 0.454 0.881 0.917
O9 O 0.546 0.119 0.083
O10 O 0.546 0.381 0.417
O11 O 0.590 0.103 0.673
O12 O 0.590 0.397 0.827
O13 O 0.910 0.603 0.827
O14 O 0.910 0.897 0.673
O15 O 0.954 0.619 0.417
O16 O 0.954 0.881 0.083
```

***

Diffraction record for Mg3Bi. The XRD peak list is simulated, not measured: it uses a DFT-relaxed cell (GGA-PBE, the Materials Project) and a wavelength of 1.5418 Å.

Most intense lines, 10 to 80 degrees two-theta, low angle first:
2θ (°)  d [Å]  I (rel.)
20.7  4.298  90
23.9  3.722  48
34.1  2.632  100
40.2  2.245  52
48.9  1.861  18
53.7  1.708  23
55.2  1.665  21
61.0  1.520  38
65.1  1.433  18
75.6  1.258  18

Crystal structure
```
data_Mg3Bi
_chemical_formula_sum 'Mg3 Bi1'
_cell_length_a 5.264
_cell_length_b 5.264
_cell_length_c 5.264
_cell_angle_alpha 60.00
_cell_angle_beta 60.00
_cell_angle_gamma 60.00
_space_group_name_H-M_alt 'P 1'
_space_group_IT_number 1
_space_group_name_Hall 'P 1'
loop_
_atom_site_label
_atom_site_type_symbol
_atom_site_fract_x
_atom_site_fract_y
_atom_site_fract_z
Mg1 Mg 0.000 0.000 0.000
Mg2 Mg 0.250 0.250 0.250
Mg3 Mg 0.750 0.750 0.750
Bi1 Bi 0.500 0.500 0.500
```

***

Diffraction record for LiRuPbO3. The XRD peak list is simulated, not measured: it uses a DFT-relaxed cell (GGA-PBE, the Materials Project) and a wavelength of 1.5418 Å.

Most intense lines, 10 to 80 degrees two-theta, low angle first:
2θ (°)  d [Å]  I (rel.)
21.2  4.195  59
28.5  3.128  71
31.6  2.828  100
33.1  2.710  21
38.4  2.345  19
43.1  2.098  31
46.4  1.957  73
54.5  1.685  25
56.4  1.633  20
78.2  1.222  19

Crystal structure
```
data_LiRuPbO3
_chemical_formula_sum 'Li1 Ru1 Pb1 O3'
_cell_length_a 4.241
_cell_length_b 4.241
_cell_length_c 4.248
_cell_angle_alpha 96.41
_cell_angle_beta 96.41
_cell_angle_gamma 83.56
_space_group_name_H-M_alt 'P 1'
_space_group_IT_number 1
_space_group_name_Hall 'P 1'
loop_
_atom_site_label
_atom_site_type_symbol
_atom_site_fract_x
_atom_site_fract_y
_atom_site_fract_z
Li1 Li 0.000 0.000 0.000
Ru1 Ru 0.294 0.294 0.704
Pb1 Pb 0.671 0.671 0.327
O1 O 0.295 0.295 0.205
O2 O 0.295 0.792 0.706
O3 O 0.792 0.295 0.706
```

***

Diffraction record for K2SnCl6. The XRD peak list is simulated, not measured: it uses a DFT-relaxed cell (GGA-PBE, the Materials Project) and a wavelength of 1.5418 Å.

Most intense lines, 10 to 80 degrees two-theta, low angle first:
2θ (°)  d [Å]  I (rel.)
15.0  5.911  100
17.3  5.119  39
24.6  3.620  45
28.9  3.087  48
30.2  2.956  34
35.1  2.560  91
43.3  2.090  20
46.1  1.970  24
50.4  1.810  58
52.9  1.731  24

Crystal structure
```
data_K2SnCl6
_chemical_formula_sum 'K2 Sn1 Cl6'
_cell_length_a 7.240
_cell_length_b 7.240
_cell_length_c 7.240
_cell_angle_alpha 60.00
_cell_angle_beta 60.00
_cell_angle_gamma 60.00
_space_group_name_H-M_alt 'P 1'
_space_group_IT_number 1
_space_group_name_Hall 'P 1'
loop_
_atom_site_label
_atom_site_type_symbol
_atom_site_fract_x
_atom_site_fract_y
_atom_site_fract_z
K1 K 0.250 0.250 0.250
K2 K 0.750 0.750 0.750
Sn1 Sn 0.000 0.000 0.000
Cl1 Cl 0.241 0.241 0.759
Cl2 Cl 0.241 0.759 0.241
Cl3 Cl 0.241 0.759 0.759
Cl4 Cl 0.759 0.241 0.241
Cl5 Cl 0.759 0.241 0.759
Cl6 Cl 0.759 0.759 0.241
```

***

Diffraction record for MgCu3Te2O10. The XRD peak list is simulated, not measured: it uses a DFT-relaxed cell (GGA-PBE, the Materials Project) and a wavelength of 1.5418 Å.

Most intense lines, 10 to 80 degrees two-theta, low angle first:
2θ (°)  d [Å]  I (rel.)
17.4  5.087  100
18.5  4.808  35
20.3  4.366  39
24.5  3.631  31
32.7  2.735  19
35.1  2.558  23
38.0  2.365  37
41.8  2.162  29
44.9  2.021  27
60.2  1.536  23

Crystal structure
```
data_MgCu3Te2O10
_chemical_formula_sum 'Mg1 Cu3 Te2 O10'
_cell_length_a 5.229
_cell_length_b 5.686
_cell_length_c 7.874
_cell_angle_alpha 105.96
_cell_angle_beta 100.01
_cell_angle_gamma 106.93
_space_group_name_H-M_alt 'P 1'
_space_group_IT_number 1
_space_group_name_Hall 'P 1'
loop_
_atom_site_label
_atom_site_type_symbol
_atom_site_fract_x
_atom_site_fract_y
_atom_site_fract_z
Mg1 Mg 0.000 0.000 0.000
Cu1 Cu 0.150 0.045 0.467
Cu2 Cu 0.461 0.690 0.577
Cu3 Cu 0.757 0.296 0.671
Te1 Te 0.345 0.492 0.871
Te2 Te 0.555 0.874 0.275
O1 O 0.127 0.514 0.655
O2 O 0.254 0.683 0.353
O3 O 0.315 0.844 0.036
O4 O 0.398 0.176 0.734
O5 O 0.512 0.199 0.412
O6 O 0.557 0.529 0.110
O7 O 0.663 0.707 0.813
O8 O 0.786 0.868 0.499
O9 O 0.906 0.046 0.240
O10 O 0.999 0.287 0.896
```